Record 1
This entry pairs a crystal structure of La4ScSb5 with its calculated PXRD pattern. Radiation: CuKα. Structure: a DFT-relaxed cell (PBE, Alexandria).
Neutral-atom scattering factors, no anomalous dispersion.

Peak list (6 most intense, 15 to 90 degrees two-theta, low angle first)
h k l  two_theta  I_rel
1 1 0  27.64  100
0 0 10  27.89  46
2 0 0  39.49  38
1 1 10  39.67  71
2 0 10  49.03  39
3 1 10  71.74  24

Structure:
```
data_La4ScSb5
_chemical_formula_sum 'La8 Sc2 Sb10'
_cell_length_a 4.564
_cell_length_b 4.564
_cell_length_c 31.987
_cell_angle_alpha 90.00
_cell_angle_beta 90.00
_cell_angle_gamma 90.00
_space_group_name_H-M_alt 'I 4/m m m'
_space_group_IT_number 139
_space_group_name_Hall '-I 4 2'
loop_
_atom_site_label
_atom_site_fract_x
_atom_site_fract_y
_atom_site_fract_z
La1 0.000 0.000 0.098
La2 0.000 0.000 0.302
Sc1 0.000 0.000 0.500
Sb1 0.000 0.000 0.000
Sb2 0.000 0.000 0.200
Sb3 0.000 0.000 0.406
```

Record 2
This entry pairs a crystal structure of LaTm2ScSb4 with its calculated PXRD pattern. Radiation: CuKα. Structure: a DFT-relaxed cell (PBE, Alexandria).
Neutral-atom scattering factors, no anomalous dispersion.

Peak list (6 most intense, 15 to 90 degrees two-theta, low angle first)
h k l  two_theta  I_rel
2 0 0  28.75  100
0 0 4  29.00  48
2 2 0  41.12  38
2 0 4  41.30  74
2 2 4  51.10  39
4 2 4  75.05  25

Structure:
```
data_LaTm2ScSb4
_chemical_formula_sum 'La2 Tm4 Sc2 Sb8'
_cell_length_a 6.210
_cell_length_b 6.210
_cell_length_c 12.315
_cell_angle_alpha 90.00
_cell_angle_beta 90.00
_cell_angle_gamma 90.00
_space_group_name_H-M_alt 'I 4/m m m'
_space_group_IT_number 139
_space_group_name_Hall '-I 4 2'
loop_
_atom_site_label
_atom_site_fract_x
_atom_site_fract_y
_atom_site_fract_z
La1 0.000 0.000 0.000
Tm1 0.000 0.500 0.250
Sc1 0.000 0.000 0.500
Sb1 0.000 0.000 0.261
Sb2 0.000 0.500 0.000
```

Record 3
This entry pairs a crystal structure of La6SbSe4 with its calculated PXRD pattern. Radiation: CuKα. Structure: a DFT-relaxed cell (PBE, Alexandria).
Neutral-atom scattering factors, no anomalous dispersion.

Peak list (6 most intense, 15 to 90 degrees two-theta, low angle first)
h k l  two_theta  I_rel
0 2 6  27.53  76
1 3 1  28.27  62
1 3 2  29.16  100
1 3 3  30.59  35
1 1 8  39.52  32
2 0 0  41.72  65

Structure:
```
data_La6SbSe4
_chemical_formula_sum 'La24 Sb4 Se16'
_cell_length_a 4.328
_cell_length_b 14.161
_cell_length_c 21.860
_cell_angle_alpha 90.00
_cell_angle_beta 90.00
_cell_angle_gamma 90.00
_space_group_name_H-M_alt 'C m c m'
_space_group_IT_number 63
_space_group_name_Hall '-C 2c 2'
loop_
_atom_site_label
_atom_site_fract_x
_atom_site_fract_y
_atom_site_fract_z
La1 0.000 0.000 0.000
La2 0.000 0.161 0.250
La3 0.000 0.272 0.590
La4 0.000 0.449 0.164
Sb1 0.000 0.170 0.750
Se1 0.000 0.087 0.124
Se2 0.000 0.360 0.038
```